(1)
The following is a calculated powder XRD pattern of Sm3InS6. It was derived from the GGA-PBE geometry in OQMD, using Cu Kα X-rays.
Peak positions follow from Bragg's law for the DFT cell and can differ from measured ones.

The 8 most intense peaks (10 to 90 degrees two-theta), most intense first:
Position (°2θ), Rel. int., (hkl)
25.0, 1000, 2 4 0
25.9, 916, 4 0 0
34.2, 541, 3 3 1
30.8, 409, 2 3 1
35.3, 399, 0 5 1
46.2, 399, 0 0 2
31.9, 386, 3 2 1
40.5, 363, 5 1 1

Atomic structure:
Cell lengths 13.710, 16.683, 3.926 Å; angles 90.00, 90.00, 90.00 degrees
Space group Pnnm (No. 58)
Asymmetric unit:
Sm 0.041 0.223 0.000 [4 per cell]
Sm 0.188 0.646 0.000 [4 per cell]
Sm 0.248 0.894 0.500 [4 per cell]
In 0.000 0.000 0.500 [2 per cell]
In 0.000 0.500 0.500 [2 per cell]
S 0.022 0.396 0.000 [4 per cell]
S 0.095 0.915 0.000 [4 per cell]
S 0.111 0.747 0.500 [4 per cell]
S 0.112 0.116 0.500 [4 per cell]
S 0.182 0.286 0.500 [4 per cell]
S 0.191 0.520 0.500 [4 per cell]


(2)
The following is a calculated powder XRD pattern of RbHg2Br5. It was derived from the GGA-PBE geometry in OQMD, using Cu Kα X-rays.
Peak positions follow from Bragg's law for the DFT cell and can differ from measured ones.

The 8 most intense peaks (10 to 90 degrees two-theta), most intense first:
Position (°2θ), Rel. int., (hkl)
28.3, 1000, 0 2 0
10.9, 728, 1 0 0
22.1, 527, 1 1 -2
21.7, 486, 0 1 2
23.4, 377, 2 0 -2
38.0, 356, 2 0 3
24.9, 342, 0 0 3
28.7, 289, 0 1 3

Atomic structure:
Cell lengths 8.460, 6.316, 11.208 Å; angles 90.00, 106.85, 90.00 degrees
Space group P2_1/m (No. 11)
Asymmetric unit:
Rb 0.032 0.250 0.253 [2 per cell]
Hg 0.366 0.750 0.558 [2 per cell]
Hg 0.461 0.750 0.143 [2 per cell]
Br 0.067 0.750 0.425 [2 per cell]
Br 0.154 0.750 0.095 [2 per cell]
Br 0.251 0.250 0.874 [2 per cell]
Br 0.395 0.250 0.561 [2 per cell]
Br 0.472 0.250 0.207 [2 per cell]


(3)
The following is a calculated powder XRD pattern of AlW8. It was derived from the GGA-PBE geometry in OQMD, using Cu Kα X-rays.
Peak positions follow from Bragg's law for the DFT cell and can differ from measured ones.

The 8 most intense peaks (10 to 90 degrees two-theta), most intense first:
Position (°2θ), Rel. int., (hkl)
40.6, 1000, 2 2 0
23.1, 955, 2 0 0
53.7, 831, 2 2 1
33.7, 514, 0 0 1
41.2, 497, 2 0 1
84.9, 248, 2 2 2
83.7, 238, 6 0 1
74.3, 178, 4 2 1

Atomic structure:
Cell lengths 8.8904, 8.8904, 2.6628 Å; angles 90.00, 90.00, 120.00 degrees
Space group P6/mmm (No. 191)
Asymmetric unit:
Al 0.0000 0.0000 0.0000 [1 per cell]
W 0.1675 0.3350 0.5000 [6 per cell]
W 0.3333 0.6667 0.5000 [2 per cell]